For Ba2Si3Ge5O18, a structure optimized by DFT (PBE) gives the theoretical powder XRD pattern in this record (CuKα).
Neutral-atom scattering factors, no anomalous dispersion.

Largest 8 diffraction maxima, sorted by position, 2θ from 10° to 90°:
2θ = 15.1°, d 5.865, I 20
2θ = 23.6°, d 3.774, I 96
2θ = 27.9°, d 3.202, I 18
2θ = 30.5°, d 2.932, I 37
2θ = 32.1°, d 2.791, I 100
2θ = 36.4°, d 2.465, I 17
2θ = 48.2°, d 1.887, I 23
2θ = 50.2°, d 1.817, I 17

Atomic structure:
abc: 6.7719 6.7719 9.8603
angles: 90.00 90.00 120.00
Sites, in units of the cell vectors:
Ba: 0.0000 0.0000 0.2487
Ba: 0.0000 0.0000 0.7513
Si: 0.4575 0.4151 0.0000
Si: 0.5849 0.0424 0.0000
Si: 0.9576 0.5425 0.0000
Ge: 0.3333 0.6667 0.2417
Ge: 0.3333 0.6667 0.7583
Ge: 0.4521 0.0239 0.5000
Ge: 0.5718 0.5479 0.5000
Ge: 0.9761 0.4282 0.5000
O: 0.0971 0.6664 0.1372
O: 0.0971 0.6664 0.8628
O: 0.1153 0.4232 0.3517
O: 0.1153 0.4232 0.6483
O: 0.3080 0.8847 0.3517
O: 0.3080 0.8847 0.6483
O: 0.3336 0.4307 0.1372
O: 0.3336 0.4307 0.8628
O: 0.3829 0.2488 0.5000
O: 0.4106 0.1480 0.0000
O: 0.5693 0.9029 0.1372
O: 0.5693 0.9029 0.8628
O: 0.5768 0.6920 0.3517
O: 0.5768 0.6920 0.6483
O: 0.7374 0.5894 0.0000
O: 0.7512 0.1341 0.5000
O: 0.8520 0.2626 0.0000
O: 0.8659 0.6171 0.5000

For BaSrGe4O12, a structure optimized by DFT (PBE) gives the theoretical powder XRD pattern in this record (CuKα).
Neutral-atom scattering factors, no anomalous dispersion.

Largest 8 diffraction maxima, sorted by position, 2θ from 10° to 90°:
2θ = 20.1°, d 4.423, I 55
2θ = 23.2°, d 3.831, I 14
2θ = 33.1°, d 2.709, I 100
2θ = 39.0°, d 2.310, I 30
2θ = 47.4°, d 1.917, I 29
2θ = 47.5°, d 1.913, I 14
2θ = 59.1°, d 1.564, I 39
2θ = 69.4°, d 1.354, I 25

Atomic structure:
abc: 5.4214 5.4214 7.6508
angles: 90.00 90.00 90.00
Sites, in units of the cell vectors:
Ba: 0.0000 0.0000 0.0000
Sr: 0.5000 0.5000 0.5000
Ge: 0.0000 0.5000 0.2517
Ge: 0.0000 0.5000 0.7483
Ge: 0.5000 0.0000 0.2517
Ge: 0.5000 0.0000 0.7483
O: 0.0000 0.5000 0.0000
O: 0.0000 0.5000 0.5000
O: 0.2547 0.2547 0.2566
O: 0.2547 0.2547 0.7434
O: 0.2547 0.7453 0.2566
O: 0.2547 0.7453 0.7434
O: 0.5000 0.0000 0.0000
O: 0.5000 0.0000 0.5000
O: 0.7453 0.2547 0.2566
O: 0.7453 0.2547 0.7434
O: 0.7453 0.7453 0.2566
O: 0.7453 0.7453 0.7434

For Ba4Ge20Pd3, a structure optimized by DFT (PBE) gives the theoretical powder XRD pattern in this record (CuKα).
Neutral-atom scattering factors, no anomalous dispersion.

Largest 8 diffraction maxima, sorted by position, 2θ from 10° to 90°:
2θ = 28.3°, d 3.149, I 31
2θ = 29.5°, d 3.025, I 25
2θ = 30.7°, d 2.915, I 100
2θ = 32.8°, d 2.727, I 14
2θ = 33.9°, d 2.645, I 12
2θ = 48.7°, d 1.871, I 34
2θ = 50.2°, d 1.818, I 22
2θ = 51.7°, d 1.769, I 43

Atomic structure:
abc: 10.9070 10.9070 10.9070
angles: 90.00 90.00 90.00
Sites, in units of the cell vectors:
Ba: 0.0000 0.0000 0.0000
Ba: 0.0000 0.2500 0.5000
Ba: 0.0000 0.7500 0.5000
Ba: 0.2500 0.5000 0.0000
Ba: 0.5000 0.0000 0.2500
Ba: 0.5000 0.0000 0.7500
Ba: 0.5000 0.5000 0.5000
Ba: 0.7500 0.5000 0.0000
Ge: 0.0000 0.3146 0.1190
Ge: 0.0000 0.3146 0.8810
Ge: 0.0000 0.6854 0.1190
Ge: 0.0000 0.6854 0.8810
Ge: 0.1190 0.0000 0.3146
Ge: 0.1190 0.0000 0.6854
Ge: 0.1830 0.1830 0.1830
Ge: 0.1830 0.1830 0.8170
Ge: 0.1830 0.8170 0.1830
Ge: 0.1830 0.8170 0.8170
Ge: 0.1854 0.5000 0.3810
Ge: 0.1854 0.5000 0.6190
Ge: 0.3146 0.1190 0.0000
Ge: 0.3146 0.8810 0.0000
Ge: 0.3170 0.3170 0.3170
Ge: 0.3170 0.3170 0.6830
Ge: 0.3170 0.6830 0.3170
Ge: 0.3170 0.6830 0.6830
Ge: 0.3810 0.1854 0.5000
Ge: 0.3810 0.8146 0.5000
Ge: 0.5000 0.3810 0.1854
Ge: 0.5000 0.3810 0.8146
Ge: 0.5000 0.6190 0.1854
Ge: 0.5000 0.6190 0.8146
Ge: 0.6190 0.1854 0.5000
Ge: 0.6190 0.8146 0.5000
Ge: 0.6830 0.3170 0.3170
Ge: 0.6830 0.3170 0.6830
Ge: 0.6830 0.6830 0.3170
Ge: 0.6830 0.6830 0.6830
Ge: 0.6854 0.1190 0.0000
Ge: 0.6854 0.8810 0.0000
Ge: 0.8146 0.5000 0.3810
Ge: 0.8146 0.5000 0.6190
Ge: 0.8170 0.1830 0.1830
Ge: 0.8170 0.1830 0.8170
Ge: 0.8170 0.8170 0.1830
Ge: 0.8170 0.8170 0.8170
Ge: 0.8810 0.0000 0.3146
Ge: 0.8810 0.0000 0.6854
Pd: 0.0000 0.5000 0.2500
Pd: 0.0000 0.5000 0.7500
Pd: 0.2500 0.0000 0.5000
Pd: 0.5000 0.2500 0.0000
Pd: 0.5000 0.7500 0.0000
Pd: 0.7500 0.0000 0.5000

For Ba8Ge43Pd3, a structure optimized by DFT (PBE) gives the theoretical powder XRD pattern in this record (CuKα).
Neutral-atom scattering factors, no anomalous dispersion.

Largest 8 diffraction maxima, sorted by position, 2θ from 10° to 90°:
2θ = 28.2°, d 3.168, I 30
2θ = 29.3°, d 3.045, I 21
2θ = 29.5°, d 3.033, I 21
2θ = 30.5°, d 2.932, I 100
2θ = 30.6°, d 2.918, I 34
2θ = 48.4°, d 1.882, I 27
2θ = 51.3°, d 1.781, I 28
2θ = 51.4°, d 1.777, I 20

Atomic structure:
abc: 10.9569 10.9569 10.9569
angles: 90.26 90.26 90.26
Sites, in units of the cell vectors:
Ba: 0.0000 0.2458 0.7542
Ba: 0.2458 0.7542 0.0000
Ba: 0.2458 0.7542 0.5000
Ba: 0.2483 0.2483 0.2483
Ba: 0.5000 0.2458 0.7542
Ba: 0.7517 0.7517 0.7517
Ba: 0.7542 0.0000 0.2458
Ba: 0.7542 0.5000 0.2458
Ge: 0.0565 0.6345 0.7502
Ge: 0.0654 0.8738 0.7502
Ge: 0.0664 0.0669 0.4342
Ge: 0.0672 0.0672 0.0672
Ge: 0.0669 0.4342 0.0664
Ge: 0.0669 0.4352 0.4344
Ge: 0.1262 0.9346 0.2498
Ge: 0.1279 0.5672 0.2502
Ge: 0.2494 0.5000 0.7506
Ge: 0.2498 0.1262 0.9346
Ge: 0.2502 0.1279 0.5672
Ge: 0.2504 0.3652 0.5570
Ge: 0.2498 0.3655 0.9435
Ge: 0.3652 0.5570 0.2504
Ge: 0.3655 0.9435 0.2498
Ge: 0.4328 0.8721 0.7498
Ge: 0.4342 0.0664 0.0669
Ge: 0.4344 0.0669 0.4352
Ge: 0.4344 0.4344 0.4344
Ge: 0.4352 0.4344 0.0669
Ge: 0.4430 0.6348 0.7496
Ge: 0.5000 0.7506 0.2494
Ge: 0.5570 0.2504 0.3652
Ge: 0.5648 0.9331 0.5656
Ge: 0.5656 0.5648 0.9331
Ge: 0.5656 0.5656 0.5656
Ge: 0.5658 0.9331 0.9336
Ge: 0.5672 0.2502 0.1279
Ge: 0.6345 0.7502 0.0565
Ge: 0.6348 0.7496 0.4430
Ge: 0.7502 0.0565 0.6345
Ge: 0.7502 0.0654 0.8738
Ge: 0.7498 0.4328 0.8721
Ge: 0.7496 0.4430 0.6348
Ge: 0.7506 0.2494 0.5000
Ge: 0.8721 0.7498 0.4328
Ge: 0.8738 0.7502 0.0654
Ge: 0.9331 0.5656 0.5648
Ge: 0.9328 0.9328 0.9328
Ge: 0.9331 0.9336 0.5658
Ge: 0.9336 0.5658 0.9331
Ge: 0.9346 0.2498 0.1262
Ge: 0.9435 0.2498 0.3655
Pd: 0.0000 0.7496 0.2504
Pd: 0.2504 0.0000 0.7496
Pd: 0.7496 0.2504 0.0000

For BaGe12Pt4, a structure optimized by DFT (PBE) gives the theoretical powder XRD pattern in this record (CuKα).
Neutral-atom scattering factors, no anomalous dispersion.

Largest 8 diffraction maxima, sorted by position, 2θ from 10° to 90°:
2θ = 20.1°, d 4.414, I 53
2θ = 28.6°, d 3.121, I 100
2θ = 32.1°, d 2.792, I 82
2θ = 38.1°, d 2.359, I 35
2θ = 46.0°, d 1.974, I 81
2θ = 50.7°, d 1.802, I 85
2θ = 52.9°, d 1.731, I 35
2θ = 67.1°, d 1.396, I 31

Atomic structure:
abc: 7.6451 7.6451 7.6451
angles: 109.47 109.47 109.47
Sites, in units of the cell vectors:
Ba: 0.0000 0.0000 0.0000
Ge: 0.1528 0.3567 0.5095
Ge: 0.1528 0.6433 0.7961
Ge: 0.2039 0.8472 0.3567
Ge: 0.3567 0.2039 0.8472
Ge: 0.3567 0.5095 0.1528
Ge: 0.4905 0.8472 0.6433
Ge: 0.5095 0.1528 0.3567
Ge: 0.6433 0.4905 0.8472
Ge: 0.6433 0.7961 0.1528
Ge: 0.7961 0.1528 0.6433
Ge: 0.8472 0.3567 0.2039
Ge: 0.8472 0.6433 0.4905
Pt: 0.0000 0.0000 0.5000
Pt: 0.0000 0.5000 0.0000
Pt: 0.5000 0.0000 0.0000
Pt: 0.5000 0.5000 0.5000

For BaGe2Rh2, a structure optimized by DFT (PBE) gives the theoretical powder XRD pattern in this record (CuKα).
Neutral-atom scattering factors, no anomalous dispersion.

Largest 8 diffraction maxima, sorted by position, 2θ from 10° to 90°:
2θ = 14.5°, d 6.109, I 31
2θ = 30.5°, d 2.935, I 100
2θ = 33.3°, d 2.687, I 97
2θ = 42.7°, d 2.116, I 76
2θ = 53.4°, d 1.716, I 40
2θ = 54.5°, d 1.684, I 53
2θ = 62.0°, d 1.496, I 29
2θ = 87.2°, d 1.118, I 28

Atomic structure:
abc: 6.8028 6.8028 6.8028
angles: 143.76 143.76 52.19
Sites, in units of the cell vectors:
Ba: 0.0000 0.0000 0.0000
Ge: 0.3534 0.3534 0.0000
Ge: 0.6466 0.6466 0.0000
Rh: 0.2500 0.7500 0.5000
Rh: 0.7500 0.2500 0.5000